Starting from a cell relaxed with GGA-PBE, the powder XRD pattern of BaPm2Ga4 was computed for CuKα.
Lines closer than 0.1° are merged.

Crystal structure
Cell lengths 4.2417, 4.6941, 19.0922 Å; angles 90.00, 90.00, 90.00 degrees
Atoms (fractional coordinates):
Ba 0.0000 0.0000 0.0000
Ba 0.5000 0.5000 0.5000
Pm 0.0000 0.5000 0.3147
Pm 0.0000 0.5000 0.6852
Pm 0.5000 0.0000 0.1852
Pm 0.5000 0.0000 0.8148
Ga 0.0000 0.0000 0.4288
Ga 0.0000 0.0000 0.5712
Ga 0.0000 0.5000 0.1522
Ga 0.0000 0.5000 0.8478
Ga 0.5000 0.0000 0.3478
Ga 0.5000 0.0000 0.6522
Ga 0.5000 0.5000 0.0712
Ga 0.5000 0.5000 0.9288

Peak list (10 most intense, 5° ≤ 2θ ≤ 70°, in order of rising 2θ)
2θ 25.2, I 18, (1 0 3); 2θ 29.9, I 100, (1 1 2); 2θ 30.2, I 49, (0 1 5); 2θ 38.4, I 29, (0 2 0); 2θ 39.3, I 26, (1 0 7); 2θ 40.3, I 24, (1 1 6); 2θ 42.6, I 22, (2 0 0); 2θ 53.1, I 20, (2 1 5); 2θ 56.1, I 18, (1 2 7); 2θ 58.7, I 17, (2 2 0)